[1]
Theoretical powder diffraction line list of Pr12Y5Ho for Cu Kα X-rays, from DFT lattice parameters and positions (PBE).
Lines closer than 0.1° are merged.

The 10 most intense peaks (2θ = 10–90°), by intensity:
hkl  2θ/deg  intensity
3 1 0  29.83  100.0
0 2 0  34.51  33.9
3 3 0  58.97  28.7
6 0 0  49.76  23.9
3 0 3  34.72  16.6
6 1 3  59.25  14.1
6 2 0  61.97  12.3
3 2 -3  49.61  12.1
9 1 0  80.83  11.4
6 2 -6  83.12  6.7

Crystal structure
```
data_Pr12Y5Ho
_symmetry_space_group_name_H-M 'P 1 2/m 1'
_symmetry_Int_Tables_number 10
_cell_length_a 10.9881
_cell_length_b 5.1981
_cell_length_c 10.9985
_cell_angle_alpha 90.00
_cell_angle_beta 90.34
_cell_angle_gamma 90.00
loop_
_symmetry_equiv_pos_as_xyz
'x,y,z'
'-x,-y,-z'
'-x,y,-z'
'x,-y,z'
loop_
_atom_site_label
_atom_site_fract_x
_atom_site_fract_y
_atom_site_fract_z
Pr1 0.0009 0.0000 0.1674
Pr2 0.1657 0.5000 0.6658
Pr3 0.1686 0.5000 0.0011
Pr4 0.3324 0.0000 0.4992
Pr5 0.3354 0.0000 0.8352
Pr6 0.4987 0.5000 0.3315
Y1 0.0000 0.0000 0.5000
Y2 0.1665 0.5000 0.3335
Y3 0.3336 0.0000 0.1664
Ho1 0.5000 0.5000 0.0000
```

[2]
Theoretical powder diffraction line list of K2Be for Cu Kα X-rays, from DFT lattice parameters and positions (PBE).
Lines closer than 0.1° are merged.

The 10 most intense peaks (2θ = 10–90°), by intensity:
hkl  2θ/deg  intensity
1 1 0  24.75  100.0
0 2 0  22.81  56.6
1 1 2  27.49  55.1
0 1 -2  25.01  52.4
1 3 0  41.72  41.3
0 1 2  21.93  41.3
1 -1 0  24.01  38.9
0 0 2  20.53  35.4
0 1 4  41.63  29.1
0 2 -2  33.22  28.8

Crystal structure
```
data_K2Be
_symmetry_space_group_name_H-M 'P -1'
_symmetry_Int_Tables_number 2
_cell_length_a 4.2542
_cell_length_b 7.8872
_cell_length_c 9.0033
_cell_angle_alpha 81.51
_cell_angle_beta 76.51
_cell_angle_gamma 89.99
loop_
_symmetry_equiv_pos_as_xyz
'x,y,z'
'-x,-y,-z'
loop_
_atom_site_label
_atom_site_fract_x
_atom_site_fract_y
_atom_site_fract_z
K1 0.0942 0.2835 0.3191
K2 0.3374 0.2023 0.8220
Be1 0.2525 0.5207 0.9948
```